Entry 1:
This entry pairs a crystal structure of TlZn12Ga7 with its simulated PXRD pattern. Radiation: copper Kα. Structure: a PBE-relaxed structure.

Crystal structure
Cell lengths 8.3373, 8.3373, 8.3373 Å; angles 113.57, 113.57, 113.57 degrees
Fractional coordinates of all 20 atoms:
Tl (0.0000, 0.0000, 0.0000)
Zn (0.0000, 0.2667, 0.7333)
Zn (0.0000, 0.7333, 0.2667)
Zn (0.0509, 0.3901, 0.3901)
Zn (0.2667, 0.0000, 0.7333)
Zn (0.2667, 0.7333, 0.0000)
Zn (0.3901, 0.0509, 0.3901)
Zn (0.3901, 0.3901, 0.0509)
Zn (0.6099, 0.6099, 0.9491)
Zn (0.6099, 0.9491, 0.6099)
Zn (0.7333, 0.0000, 0.2667)
Zn (0.7333, 0.2667, 0.0000)
Zn (0.9491, 0.6099, 0.6099)
Ga (0.1986, 0.1986, 0.5441)
Ga (0.1986, 0.5441, 0.1986)
Ga (0.4559, 0.8014, 0.8014)
Ga (0.5000, 0.5000, 0.5000)
Ga (0.5441, 0.1986, 0.1986)
Ga (0.8014, 0.4559, 0.8014)
Ga (0.8014, 0.8014, 0.4559)

Most intense lines, 2θ = 10–90°, sorted by position:
- 2θ 30.04, I 28
- 2θ 32.73, I 33
- 2θ 34.00, I 63
- 2θ 38.73, I 100
- 2θ 40.91, I 50
- 2θ 41.96, I 24
- 2θ 57.59, I 28
- 2θ 75.95, I 21



Entry 2:
This entry pairs a crystal structure of Tb2AsCl3 with its simulated PXRD pattern. Radiation: copper Kα. Structure: a PBE-relaxed structure.

Crystal structure
Cell lengths 8.5587, 8.5587, 13.0399 Å; angles 124.84, 124.84, 28.74 degrees
Fractional coordinates of all 12 atoms:
Tb (0.1094, 0.1094, 0.4568)
Tb (0.3615, 0.3615, 0.1734)
Tb (0.6385, 0.6385, 0.8266)
Tb (0.8906, 0.8906, 0.5432)
As (0.1016, 0.1016, 0.6681)
As (0.8984, 0.8984, 0.3319)
Cl (0.1585, 0.1585, 0.9959)
Cl (0.2622, 0.2622, 0.4080)
Cl (0.4422, 0.4422, 0.7224)
Cl (0.5578, 0.5578, 0.2776)
Cl (0.7378, 0.7378, 0.5920)
Cl (0.8415, 0.8415, 0.0041)

Most intense lines, 2θ = 10–90°, sorted by position:
- 2θ 10.69, I 100
- 2θ 13.98, I 54
- 2θ 24.93, I 63
- 2θ 25.24, I 49
- 2θ 26.63, I 52
- 2θ 34.69, I 55
- 2θ 44.25, I 45
- 2θ 44.95, I 36



Entry 3:
This entry pairs a crystal structure of Ca3In2P4 with its simulated PXRD pattern. Radiation: copper Kα. Structure: a PBE-relaxed structure.

Crystal structure
Cell lengths 6.5226, 15.8379, 4.2142 Å; angles 90.00, 90.00, 90.00 degrees
Fractional coordinates of all 18 atoms:
Ca (0.0000, 0.0000, 0.0000)
Ca (0.2270, 0.3047, 0.5000)
Ca (0.2730, 0.8047, 0.0000)
Ca (0.5000, 0.5000, 0.5000)
Ca (0.7270, 0.1953, 0.0000)
Ca (0.7730, 0.6953, 0.5000)
In (0.1384, 0.5885, 0.0000)
In (0.3616, 0.0885, 0.5000)
In (0.6384, 0.9115, 0.5000)
In (0.8616, 0.4115, 0.0000)
P (0.2332, 0.1723, 0.0000)
P (0.2451, 0.9303, 0.5000)
P (0.2549, 0.4303, 0.0000)
P (0.2668, 0.6723, 0.5000)
P (0.7332, 0.3277, 0.5000)
P (0.7451, 0.5697, 0.0000)
P (0.7549, 0.0697, 0.5000)
P (0.7668, 0.8277, 0.0000)

Most intense lines, 2θ = 10–90°, sorted by position:
- 2θ 14.69, I 33
- 2θ 17.62, I 38
- 2θ 21.82, I 47
- 2θ 25.16, I 48
- 2θ 32.26, I 45
- 2θ 35.45, I 100
- 2θ 36.65, I 66
- 2θ 42.92, I 38



Entry 4:
This entry pairs a crystal structure of Cs5Sb8 with its simulated PXRD pattern. Radiation: copper Kα. Structure: a PBE-relaxed structure.

Crystal structure
Cell lengths 7.4600, 11.6822, 28.3840 Å; angles 90.00, 97.24, 90.00 degrees
Fractional coordinates of all 52 atoms:
Cs (0.0187, 0.1852, 0.3762)
Cs (0.0187, 0.3148, 0.8762)
Cs (0.2318, 0.6929, 0.8126)
Cs (0.2318, 0.8071, 0.3126)
Cs (0.2565, 0.6041, 0.9797)
Cs (0.2565, 0.8959, 0.4797)
Cs (0.2952, 0.0388, 0.7585)
Cs (0.2952, 0.4612, 0.2585)
Cs (0.4714, 0.5665, 0.5752)
Cs (0.4714, 0.9335, 0.0752)
Cs (0.5286, 0.0665, 0.9248)
Cs (0.5286, 0.4335, 0.4248)
Cs (0.7048, 0.5388, 0.7415)
Cs (0.7048, 0.9612, 0.2415)
Cs (0.7435, 0.1041, 0.5203)
Cs (0.7435, 0.3959, 0.0203)
Cs (0.7682, 0.1929, 0.6874)
Cs (0.7682, 0.3071, 0.1874)
Cs (0.9813, 0.6852, 0.1238)
Cs (0.9813, 0.8148, 0.6238)
Sb (0.0114, 0.5220, 0.3748)
Sb (0.0114, 0.9780, 0.8748)
Sb (0.0625, 0.5955, 0.4722)
Sb (0.0625, 0.9045, 0.9722)
Sb (0.1860, 0.1275, 0.2560)
Sb (0.1860, 0.3725, 0.7560)
Sb (0.1906, 0.1402, 0.6126)
Sb (0.1906, 0.3598, 0.1126)
Sb (0.2366, 0.2504, 0.0246)
Sb (0.2366, 0.2496, 0.5246)
Sb (0.3019, 0.1429, 0.1641)
Sb (0.3019, 0.3571, 0.6641)
Sb (0.4704, 0.5347, 0.1081)
Sb (0.4704, 0.9653, 0.6081)
Sb (0.4932, 0.6946, 0.1829)
Sb (0.4932, 0.8054, 0.6829)
Sb (0.5068, 0.1946, 0.3171)
Sb (0.5068, 0.3054, 0.8171)
Sb (0.5296, 0.0347, 0.3919)
Sb (0.5296, 0.4653, 0.8919)
Sb (0.6981, 0.6429, 0.3359)
Sb (0.6981, 0.8571, 0.8359)
Sb (0.7634, 0.7504, 0.4754)
Sb (0.7634, 0.7496, 0.9754)
Sb (0.8094, 0.6402, 0.8874)
Sb (0.8094, 0.8598, 0.3874)
Sb (0.8140, 0.6275, 0.2440)
Sb (0.8140, 0.8725, 0.7440)
Sb (0.9375, 0.0955, 0.0278)
Sb (0.9375, 0.4045, 0.5278)
Sb (0.9886, 0.0220, 0.1252)
Sb (0.9886, 0.4780, 0.6252)

Most intense lines, 2θ = 10–90°, sorted by position:
- 2θ 25.03, I 61
- 2θ 25.29, I 63
- 2θ 26.01, I 59
- 2θ 26.24, I 47
- 2θ 26.26, I 100
- 2θ 26.79, I 46
- 2θ 28.11, I 86
- 2θ 28.61, I 44



Entry 5:
This entry pairs a crystal structure of PmPaCuO5 with its simulated PXRD pattern. Radiation: copper Kα. Structure: a PBE-relaxed structure.

Crystal structure
Cell lengths 5.9268, 5.9268, 7.9776 Å; angles 102.24, 102.24, 110.88 degrees
Fractional coordinates of all 16 atoms:
Pm (0.1648, 0.8352, 0.7500)
Pm (0.8352, 0.1648, 0.2500)
Pa (0.5000, 0.5000, 0.0000)
Pa (0.5000, 0.5000, 0.5000)
Cu (0.1730, 0.8270, 0.2500)
Cu (0.8270, 0.1730, 0.7500)
O (0.1298, 0.1929, 0.9225)
O (0.1889, 0.5919, 0.3871)
O (0.1929, 0.1298, 0.4225)
O (0.4034, 0.5966, 0.7500)
O (0.4081, 0.8111, 0.1129)
O (0.5919, 0.1889, 0.8871)
O (0.5966, 0.4034, 0.2500)
O (0.8071, 0.8702, 0.5775)
O (0.8111, 0.4081, 0.6129)
O (0.8702, 0.8071, 0.0775)

Most intense lines, 2θ = 10–90°, sorted by position:
- 2θ 16.87, I 30
- 2θ 24.68, I 100
- 2θ 28.63, I 61
- 2θ 30.31, I 61
- 2θ 31.00, I 78
- 2θ 33.73, I 31
- 2θ 35.11, I 26
- 2θ 42.17, I 26



Entry 6:
This entry pairs a crystal structure of RbMgBr3O6 with its simulated PXRD pattern. Radiation: copper Kα. Structure: a PBE-relaxed structure.

Crystal structure
Cell lengths 7.6121, 7.6121, 13.6208 Å; angles 111.42, 111.42, 45.79 degrees
Fractional coordinates of all 22 atoms:
Rb (0.0499, 0.9501, 0.7500)
Rb (0.9501, 0.0499, 0.2500)
Mg (0.0000, 0.5000, 0.5000)
Mg (0.5000, 0.0000, 0.0000)
Br (0.0000, 0.5000, 0.0000)
Br (0.2351, 0.2976, 0.2286)
Br (0.2976, 0.2351, 0.7286)
Br (0.5000, 0.0000, 0.5000)
Br (0.7024, 0.7649, 0.2714)
Br (0.7649, 0.7024, 0.7714)
O (0.0927, 0.5121, 0.6689)
O (0.1196, 0.1843, 0.9592)
O (0.1843, 0.1196, 0.4592)
O (0.3079, 0.3834, 0.0182)
O (0.3834, 0.3079, 0.5182)
O (0.4879, 0.9073, 0.8311)
O (0.5121, 0.0927, 0.1689)
O (0.6166, 0.6921, 0.4818)
O (0.6921, 0.6166, 0.9818)
O (0.8157, 0.8804, 0.5408)
O (0.8804, 0.8157, 0.0408)
O (0.9073, 0.4879, 0.3311)

Most intense lines, 2θ = 10–90°, sorted by position:
- 2θ 13.75, I 100
- 2θ 25.00, I 27
- 2θ 25.63, I 21
- 2θ 27.71, I 30
- 2θ 28.55, I 41
- 2θ 31.77, I 21
- 2θ 33.48, I 25
- 2θ 40.00, I 31



Entry 7:
This entry pairs a crystal structure of Sr2Cd3 with its simulated PXRD pattern. Radiation: copper Kα. Structure: a PBE-relaxed structure.

Crystal structure
Cell lengths 15.4831, 15.4831, 5.0154 Å; angles 90.00, 90.00, 164.19 degrees
Fractional coordinates of all 10 atoms:
Sr (0.0715, 0.9285, 0.7500)
Sr (0.2070, 0.7930, 0.2500)
Sr (0.7930, 0.2070, 0.7500)
Sr (0.9285, 0.0715, 0.2500)
Cd (0.3281, 0.6719, 0.2500)
Cd (0.3815, 0.6185, 0.7500)
Cd (0.4760, 0.5240, 0.7500)
Cd (0.5240, 0.4760, 0.2500)
Cd (0.6185, 0.3815, 0.2500)
Cd (0.6719, 0.3281, 0.7500)

Most intense lines, 2θ = 10–90°, sorted by position:
- 2θ 21.06, I 27
- 2θ 28.86, I 100
- 2θ 29.25, I 56
- 2θ 34.27, I 74
- 2θ 35.81, I 43
- 2θ 42.45, I 26
- 2θ 46.88, I 29
- 2θ 55.65, I 35



Entry 8:
This entry pairs a crystal structure of Zr6MnTc5 with its simulated PXRD pattern. Radiation: copper Kα. Structure: a PBE-relaxed structure.

Crystal structure
Cell lengths 8.0760, 8.0760, 4.6610 Å; angles 106.72, 106.72, 48.25 degrees
Fractional coordinates of all 12 atoms:
Zr (0.0779, 0.5843, 0.3310)
Zr (0.2443, 0.7557, 0.0000)
Zr (0.4157, 0.9221, 0.6690)
Zr (0.5843, 0.0779, 0.3310)
Zr (0.7557, 0.2443, 0.0000)
Zr (0.9221, 0.4157, 0.6690)
Mn (0.5000, 0.5000, 0.5000)
Tc (0.0000, 0.0000, 0.5000)
Tc (0.1672, 0.1672, 0.1675)
Tc (0.3378, 0.3378, 0.8376)
Tc (0.6622, 0.6622, 0.1624)
Tc (0.8328, 0.8328, 0.8325)

Most intense lines, 2θ = 10–90°, sorted by position:
- 2θ 14.84, I 1
- 2θ 38.61, I 100
- 2θ 55.72, I 11
- 2θ 55.80, I 6
- 2θ 69.86, I 33
- 2θ 82.76, I 8
- 2θ 82.84, I 2